Computed XRD peak list
Compound: PrNd3Ho7
Radiation: Cu Kα
Structure: a cell relaxed with PBE
No peak broadening, texture or thermal motion is included.

Crystal structure
a b c (Å): 6.540 6.673 8.663
angles (deg): 98.75 99.02 94.95
Fractional coordinates of all 11 atoms:
Pr 0.000 0.000 0.000
Nd 0.297 0.437 0.341
Nd 0.500 0.000 0.500
Nd 0.703 0.563 0.659
Ho 0.000 0.500 0.000
Ho 0.056 0.207 0.643
Ho 0.230 0.721 0.717
Ho 0.486 0.238 0.913
Ho 0.514 0.762 0.087
Ho 0.770 0.279 0.283
Ho 0.944 0.793 0.357

Peak list (10 most intense, 2θ from 15° to 90°, in order of rising 2θ)
2θ 31.46, d 2.843, rel. 65
2θ 31.63, d 2.829, rel. 21
2θ 31.83, d 2.811, rel. 100
2θ 32.00, d 2.797, rel. 46
2θ 32.34, d 2.768, rel. 44
2θ 32.48, d 2.757, rel. 47
2θ 32.80, d 2.731, rel. 38
2θ 34.90, d 2.571, rel. 16
2θ 57.10, d 1.613, rel. 14
2θ 57.46, d 1.604, rel. 14